Record 1
Computed PXRD pattern
Compound: AcCuPdPt
Radiation: Cu Ka
Structure: DFT lattice parameters and positions (PBE)

Main lines, sorted by position (10° ≤ 2θ ≤ 90°):
- d 3.728, rel. 68
- d 2.704, rel. 61
- d 2.696, rel. 30
- d 2.531, rel. 15
- d 2.389, rel. 24
- d 2.380, rel. 47
- d 2.220, rel. 100
- d 1.713, rel. 16
- d 1.667, rel. 17
- d 1.282, rel. 17

Structure:
abc: 7.6950 4.4377 5.6639
angles: 90.00 116.66 90.00
Element x y z (fractional)
Ac 0.0000 0.0000 0.0000
Ac 0.5000 0.5000 0.0000
Cu 0.0085 0.5000 0.5251
Cu 0.5085 0.0000 0.5251
Pd 0.2961 0.5000 0.3872
Pd 0.7961 0.0000 0.3872
Pt 0.2072 0.0000 0.6213
Pt 0.7072 0.5000 0.6213

***

Record 2
Computed PXRD pattern
Compound: Ac2CuSbPd6
Radiation: Cu Ka
Structure: DFT lattice parameters and positions (PBE)

Main lines, sorted by position (10° ≤ 2θ ≤ 90°):
- d 8.006, rel. 36
- d 4.003, rel. 27
- d 3.474, rel. 69
- d 2.904, rel. 29
- d 2.462, rel. 75
- d 2.351, rel. 31
- d 2.320, rel. 100
- d 2.167, rel. 46
- d 1.491, rel. 28
- d 1.452, rel. 33

Structure:
abc: 8.6802 8.6802 8.6802
angles: 39.10 39.10 39.10
Element x y z (fractional)
Ac 0.2082 0.2082 0.2082
Ac 0.7918 0.7918 0.7918
Cu 0.5000 0.5000 0.5000
Sb 0.0000 0.0000 0.0000
Pd 0.2548 0.2548 0.7382
Pd 0.2548 0.7382 0.2548
Pd 0.2618 0.7452 0.7452
Pd 0.7382 0.2548 0.2548
Pd 0.7452 0.2618 0.7452
Pd 0.7452 0.7452 0.2618

***

Record 3
Computed PXRD pattern
Compound: Ac2Cu6SiPd
Radiation: Cu Ka
Structure: DFT lattice parameters and positions (PBE)

Main lines, sorted by position (10° ≤ 2θ ≤ 90°):
- d 3.304, rel. 85
- d 3.289, rel. 41
- d 2.775, rel. 37
- d 2.727, rel. 100
- d 2.718, rel. 49
- d 2.694, rel. 26
- d 2.674, rel. 53
- d 2.301, rel. 31
- d 1.787, rel. 34
- d 1.769, rel. 30

Structure:
abc: 6.4006 6.4055 6.4452
angles: 61.88 61.93 61.81
Element x y z (fractional)
Ac 0.2052 0.2032 0.2010
Ac 0.7948 0.7968 0.7990
Cu 0.2518 0.2551 0.6374
Cu 0.2535 0.6382 0.2549
Cu 0.3614 0.7503 0.7410
Cu 0.6386 0.2497 0.2590
Cu 0.7465 0.3618 0.7451
Cu 0.7482 0.7449 0.3626
Si 0.5000 0.5000 0.5000
Pd 0.0000 0.0000 0.0000

***

Record 4
Computed PXRD pattern
Compound: Ac3Cu2SiPd9
Radiation: Cu Ka
Structure: DFT lattice parameters and positions (PBE)

Main lines, sorted by position (10° ≤ 2θ ≤ 90°):
- d 3.674, rel. 36
- d 3.476, rel. 49
- d 2.989, rel. 20
- d 2.886, rel. 25
- d 2.512, rel. 94
- d 2.318, rel. 100
- d 1.965, rel. 16
- d 1.837, rel. 30
- d 1.494, rel. 29
- d 1.373, rel. 18

Structure:
abc: 5.9771 5.9771 10.4294
angles: 90.00 90.00 120.00
Element x y z (fractional)
Ac 0.0000 0.0000 0.0000
Ac 0.3333 0.6667 0.7159
Ac 0.6667 0.3333 0.2841
Cu 0.3333 0.6667 0.1770
Cu 0.6667 0.3333 0.8230
Si 0.0000 0.0000 0.5000
Pd 0.0000 0.5000 0.0000
Pd 0.1787 0.3574 0.3697
Pd 0.1787 0.8213 0.3697
Pd 0.3574 0.1787 0.6303
Pd 0.5000 0.0000 0.0000
Pd 0.5000 0.5000 0.0000
Pd 0.6426 0.8213 0.3697
Pd 0.8213 0.1787 0.6303
Pd 0.8213 0.6426 0.6303

***

Record 5
Computed PXRD pattern
Compound: Ac2CuSi4Pd3
Radiation: Cu Ka
Structure: DFT lattice parameters and positions (PBE)

Main lines, sorted by position (10° ≤ 2θ ≤ 90°):
- d 4.007, rel. 40
- d 3.082, rel. 39
- d 2.676, rel. 99
- d 2.636, rel. 100
- d 2.180, rel. 59
- d 1.843, rel. 30
- d 1.690, rel. 51
- d 1.486, rel. 22
- d 1.407, rel. 25
- d 1.330, rel. 24

Structure:
abc: 4.3591 4.3591 10.1708
angles: 90.00 90.00 90.00
Element x y z (fractional)
Ac 0.0000 0.5000 0.2492
Ac 0.5000 0.0000 0.7508
Cu 0.5000 0.5000 0.0000
Si 0.0000 0.0000 0.5000
Si 0.0000 0.5000 0.8748
Si 0.5000 0.0000 0.1252
Si 0.5000 0.5000 0.5000
Pd 0.0000 0.0000 0.0000
Pd 0.0000 0.5000 0.6207
Pd 0.5000 0.0000 0.3793

***

Record 6
Computed PXRD pattern
Compound: AcZn4CuPd2
Radiation: Cu Ka
Structure: DFT lattice parameters and positions (PBE)

Main lines, sorted by position (10° ≤ 2θ ≤ 90°):
- d 3.286, rel. 30
- d 3.089, rel. 50
- d 2.520, rel. 68
- d 2.167, rel. 100
- d 2.065, rel. 16
- d 1.761, rel. 19
- d 1.643, rel. 18
- d 1.309, rel. 17
- d 1.251, rel. 16
- d 1.174, rel. 16

Structure:
abc: 9.4054 9.4054 9.4054
angles: 26.64 26.64 26.64
Element x y z (fractional)
Ac 0.0000 0.0000 0.0000
Zn 0.1331 0.1331 0.1331
Zn 0.4088 0.4088 0.4088
Zn 0.5912 0.5912 0.5912
Zn 0.8669 0.8669 0.8669
Cu 0.5000 0.5000 0.5000
Pd 0.2305 0.2305 0.2305
Pd 0.7695 0.7695 0.7695

***

Record 7
Computed PXRD pattern
Compound: AcPrCu
Radiation: Cu Ka
Structure: DFT lattice parameters and positions (PBE)

Main lines, sorted by position (10° ≤ 2θ ≤ 90°):
- d 3.614, rel. 50
- d 3.267, rel. 34
- d 2.863, rel. 46
- d 2.845, rel. 94
- d 2.823, rel. 47
- d 2.655, rel. 100
- d 2.070, rel. 22
- d 2.050, rel. 18
- d 1.877, rel. 36
- d 1.564, rel. 16

Structure:
abc: 13.6469 3.7572 7.5043
angles: 90.00 106.77 90.00
Element x y z (fractional)
Ac 0.1417 0.0000 0.0773
Ac 0.3583 0.5000 0.9227
Ac 0.6417 0.5000 0.0773
Ac 0.8583 0.0000 0.9227
Pr 0.1329 0.0000 0.5623
Pr 0.3671 0.5000 0.4377
Pr 0.6329 0.5000 0.5623
Pr 0.8671 0.0000 0.4377
Cu 0.0076 0.5000 0.7392
Cu 0.4924 0.0000 0.2608
Cu 0.5076 0.0000 0.7392
Cu 0.9924 0.5000 0.2608

***

Record 8
Computed PXRD pattern
Compound: AcPrCu3
Radiation: Cu Ka
Structure: DFT lattice parameters and positions (PBE)

Main lines, sorted by position (10° ≤ 2θ ≤ 90°):
- d 3.674, rel. 32
- d 2.825, rel. 100
- d 2.742, rel. 57
- d 2.593, rel. 21
- d 2.255, rel. 36
- d 2.220, rel. 26
- d 2.017, rel. 19
- d 1.725, rel. 31
- d 1.503, rel. 20
- d 1.493, rel. 14

Structure:
abc: 13.2425 13.2425 4.4405
angles: 90.00 90.00 162.48
Element x y z (fractional)
Ac 0.0722 0.9278 0.7500
Ac 0.9278 0.0722 0.2500
Pr 0.2049 0.7951 0.2500
Pr 0.7951 0.2049 0.7500
Cu 0.3279 0.6721 0.2500
Cu 0.3794 0.6206 0.7500
Cu 0.4760 0.5240 0.7500
Cu 0.5240 0.4760 0.2500
Cu 0.6206 0.3794 0.2500
Cu 0.6721 0.3279 0.7500

***

Record 9
Computed PXRD pattern
Compound: AcPr2Cu
Radiation: Cu Ka
Structure: DFT lattice parameters and positions (PBE)

Main lines, sorted by position (10° ≤ 2θ ≤ 90°):
- d 3.610, rel. 33
- d 3.125, rel. 84
- d 3.065, rel. 57
- d 3.006, rel. 85
- d 2.919, rel. 100
- d 2.873, rel. 32
- d 2.741, rel. 51
- d 1.768, rel. 40
- d 1.739, rel. 32
- d 1.718, rel. 32

Structure:
abc: 7.2966 10.6071 6.6791
angles: 90.00 90.00 90.00
Element x y z (fractional)
Ac 0.0284 0.2500 0.1407
Ac 0.4716 0.7500 0.6407
Ac 0.5284 0.2500 0.3593
Ac 0.9716 0.7500 0.8593
Pr 0.1859 0.0575 0.6695
Pr 0.1859 0.4425 0.6695
Pr 0.3141 0.5575 0.1695
Pr 0.3141 0.9425 0.1695
Pr 0.6859 0.0575 0.8305
Pr 0.6859 0.4425 0.8305
Pr 0.8141 0.5575 0.3305
Pr 0.8141 0.9425 0.3305
Cu 0.1027 0.7500 0.4067
Cu 0.3973 0.2500 0.9067
Cu 0.6027 0.7500 0.0933
Cu 0.8973 0.2500 0.5933

***

Record 10
Computed PXRD pattern
Compound: AcPr2Cu3
Radiation: Cu Ka
Structure: DFT lattice parameters and positions (PBE)

Main lines, sorted by position (10° ≤ 2θ ≤ 90°):
- d 3.680, rel. 22
- d 2.602, rel. 100
- d 2.124, rel. 7
- d 1.840, rel. 18
- d 1.646, rel. 10
- d 1.502, rel. 35
- d 1.301, rel. 11
- d 1.227, rel. 3
- d 1.165, rel. 4
- d 1.163, rel. 10

Structure:
abc: 3.6777 3.6777 11.0493
angles: 90.00 90.00 90.00
Element x y z (fractional)
Ac 0.0000 0.0000 0.0000
Pr 0.0000 0.0000 0.3374
Pr 0.0000 0.0000 0.6626
Cu 0.5000 0.5000 0.1829
Cu 0.5000 0.5000 0.5000
Cu 0.5000 0.5000 0.8171

***

Record 11
Computed PXRD pattern
Compound: AcPrCu2Se4
Radiation: Cu Ka
Structure: DFT lattice parameters and positions (PBE)

Main lines, sorted by position (10° ≤ 2θ ≤ 90°):
- d 5.301, rel. 21
- d 5.041, rel. 36
- d 3.168, rel. 100
- d 2.715, rel. 52
- d 2.650, rel. 53
- d 2.521, rel. 84
- d 1.998, rel. 25
- d 1.947, rel. 24
- d 1.888, rel. 32
- d 1.500, rel. 28

Structure:
abc: 6.9826 7.2851 8.1438
angles: 90.00 90.00 90.00
Element x y z (fractional)
Ac 0.0000 0.0000 0.0000
Ac 0.5000 0.5000 0.5000
Pr 0.0000 0.0000 0.5000
Pr 0.5000 0.5000 0.0000
Cu 0.0000 0.5000 0.1576
Cu 0.0000 0.5000 0.8424
Cu 0.5000 0.0000 0.3424
Cu 0.5000 0.0000 0.6576
Se 0.2421 0.2862 0.7905
Se 0.2421 0.7138 0.2095
Se 0.2579 0.2138 0.2905
Se 0.2579 0.7862 0.7095
Se 0.7421 0.2138 0.7095
Se 0.7421 0.7862 0.2905
Se 0.7579 0.2862 0.2095
Se 0.7579 0.7138 0.7905

***

Record 12
Computed PXRD pattern
Compound: AcPrCuSe4
Radiation: Cu Ka
Structure: DFT lattice parameters and positions (PBE)

Main lines, sorted by position (10° ≤ 2θ ≤ 90°):
- d 4.554, rel. 75
- d 3.163, rel. 82
- d 3.149, rel. 83
- d 3.026, rel. 55
- d 2.803, rel. 72
- d 2.793, rel. 71
- d 2.772, rel. 53
- d 2.441, rel. 100
- d 2.277, rel. 64
- d 2.165, rel. 64

Structure:
abc: 7.2357 6.0524 8.6596
angles: 90.00 107.15 90.00
Element x y z (fractional)
Ac 0.2356 0.2500 0.4321
Ac 0.7644 0.7500 0.5679
Pr 0.2333 0.2500 0.9367
Pr 0.7667 0.7500 0.0633
Cu 0.2446 0.7500 0.1837
Cu 0.7554 0.2500 0.8163
Se 0.0729 0.7500 0.3847
Se 0.0776 0.7500 0.8992
Se 0.4878 0.5092 0.7551
Se 0.4878 0.9908 0.7551
Se 0.5122 0.0092 0.2449
Se 0.5122 0.4908 0.2449
Se 0.9224 0.2500 0.1008
Se 0.9271 0.2500 0.6153

***

Record 13
Computed PXRD pattern
Compound: Ac2CuPt3
Radiation: Cu Ka
Structure: DFT lattice parameters and positions (PBE)

Main lines, sorted by position (10° ≤ 2θ ≤ 90°):
- d 2.845, rel. 45
- d 2.813, rel. 100
- d 2.285, rel. 50
- d 2.236, rel. 25
- d 2.031, rel. 19
- d 1.789, rel. 14
- d 1.758, rel. 22
- d 1.518, rel. 28
- d 1.503, rel. 15
- d 1.397, rel. 13

Structure:
abc: 4.0612 4.4730 7.9724
angles: 90.00 90.00 90.00
Element x y z (fractional)
Ac 0.0000 0.0000 0.0000
Ac 0.0000 0.5000 0.4828
Cu 0.5000 0.5000 0.8188
Pt 0.5000 0.0000 0.3361
Pt 0.5000 0.0000 0.6758
Pt 0.5000 0.5000 0.1355

***

Record 14
Computed PXRD pattern
Compound: Ac6CuPt5
Radiation: Cu Ka
Structure: DFT lattice parameters and positions (PBE)

Main lines, sorted by position (10° ≤ 2θ ≤ 90°):
- d 3.597, rel. 2
- d 3.116, rel. 100
- d 2.203, rel. 78
- d 1.799, rel. 28
- d 1.558, rel. 13
- d 1.393, rel. 36
- d 1.273, rel. 16
- d 1.271, rel. 11
- d 1.102, rel. 4
- d 1.101, rel. 5

Structure:
abc: 7.6293 7.6293 7.6306
angles: 99.60 99.60 119.91
Element x y z (fractional)
Ac 0.0743 0.4150 0.7453
Ac 0.2434 0.2434 0.2527
Ac 0.4150 0.0743 0.7453
Ac 0.5850 0.9257 0.2547
Ac 0.7566 0.7566 0.7473
Ac 0.9257 0.5850 0.2547
Cu 0.5000 0.5000 0.0000
Pt 0.0000 0.0000 0.5000
Pt 0.1671 0.8329 0.0000
Pt 0.3360 0.6640 0.5000
Pt 0.6640 0.3360 0.5000
Pt 0.8329 0.1671 0.0000